1.
Starting from a PBE-relaxed structure, the powder diffractogram of BaZnCu3 was calculated for CuKα.
Kinematic intensities with the Lorentz-polarization factor, no thermal factor.

Top 8 peaks for 5° ≤ 2θ ≤ 70°, sorted by position:
- 2θ 12.61, rel. 100
- 2θ 26.58, rel. 62
- 2θ 28.98, rel. 82
- 2θ 30.59, rel. 92
- 2θ 37.96, rel. 86
- 2θ 40.87, rel. 74
- 2θ 42.03, rel. 59
- 2θ 46.23, rel. 62

```
BaZnCu3
1.0
4.911 0.000 0.000
0.000 6.425 0.000
-0.344 0.000 7.022
Ba Zn Cu
2 2 6
Direct
0.221 0.250 0.159 Ba
0.779 0.750 0.841 Ba
0.485 0.750 0.290 Zn
0.515 0.250 0.710 Zn
0.017 0.250 0.693 Cu
0.254 0.551 0.553 Cu
0.254 0.949 0.553 Cu
0.746 0.051 0.447 Cu
0.746 0.449 0.447 Cu
0.983 0.750 0.307 Cu
```

***

2.
Starting from a PBE-relaxed structure, the powder diffractogram of Nd10Sb3Pb3 was calculated for CuKα.
Kinematic intensities with the Lorentz-polarization factor, no thermal factor.

Top 8 peaks for 5° ≤ 2θ ≤ 70°, sorted by position:
- 2θ 26.67, rel. 22
- 2θ 29.07, rel. 27
- 2θ 32.07, rel. 100
- 2θ 32.90, rel. 80
- 2θ 33.07, rel. 49
- 2θ 47.34, rel. 19
- 2θ 50.61, rel. 28
- 2θ 63.67, rel. 19

```
Nd10Sb3Pb3
1.0
9.383 0.000 0.000
-4.692 8.126 0.000
0.000 0.000 6.686
Nd Sb Pb
10 3 3
Direct
0.000 0.244 0.000 Nd
0.000 0.756 0.500 Nd
0.244 0.000 0.000 Nd
0.244 0.244 0.500 Nd
0.333 0.667 0.254 Nd
0.333 0.667 0.746 Nd
0.667 0.333 0.254 Nd
0.667 0.333 0.746 Nd
0.756 0.000 0.500 Nd
0.756 0.756 0.000 Nd
0.000 0.388 0.500 Sb
0.388 0.000 0.500 Sb
0.612 0.612 0.500 Sb
0.000 0.609 0.000 Pb
0.391 0.391 0.000 Pb
0.609 0.000 0.000 Pb
```

***

3.
Starting from a PBE-relaxed structure, the powder diffractogram of Dy3Mg2In2 was calculated for CuKα.
Kinematic intensities with the Lorentz-polarization factor, no thermal factor.

Top 8 peaks for 5° ≤ 2θ ≤ 70°, sorted by position:
- 2θ 8.44, rel. 30
- 2θ 30.63, rel. 25
- 2θ 31.82, rel. 100
- 2θ 32.59, rel. 55
- 2θ 35.16, rel. 93
- 2θ 36.78, rel. 38
- 2θ 49.94, rel. 33
- 2θ 62.70, rel. 28

```
Dy3Mg2In2
1.0
3.639 0.000 0.000
0.000 4.887 0.000
0.000 0.000 20.954
Dy Mg In
6 4 4
Direct
0.000 0.000 0.000 Dy
0.000 0.500 0.203 Dy
0.000 0.500 0.797 Dy
0.500 0.000 0.297 Dy
0.500 0.000 0.703 Dy
0.500 0.500 0.500 Dy
0.000 0.000 0.432 Mg
0.000 0.000 0.568 Mg
0.500 0.500 0.068 Mg
0.500 0.500 0.932 Mg
0.000 0.500 0.357 In
0.000 0.500 0.643 In
0.500 0.000 0.143 In
0.500 0.000 0.857 In
```